1.
Diffraction record for LiNi2Rh. The PXRD pattern is computed, not measured: it uses the GGA-PBE geometry in Alexandria and Cu Ka.

Cell and atoms:
```
4
Lattice="2.5944 0.0000 0.0000 0.0000 4.1939 0.0000 0.0000 0.0000 4.4382" Properties=species:S:1:pos:R:3 pbc="T T T"
Li 0.0000 0.0000 0.0000
Ni 1.2972 0.0000 2.2522
Ni 1.2972 2.0969 3.7896
Rh 0.0000 2.0969 1.5857
```

Main lines, in order of rising 2θ (10° ≤ 2θ ≤ 80°):
20.01 deg, rel. 39, (0 0 1)
21.18 deg, rel. 42, (0 1 0)
40.27 deg, rel. 31, (1 0 1)
40.66 deg, rel. 20, (0 0 2)
40.90 deg, rel. 15, (1 1 0)
43.14 deg, rel. 36, (0 2 0)
45.93 deg, rel. 100, (1 1 1)
46.29 deg, rel. 42, (0 1 2)
60.48 deg, rel. 18, (1 2 1)
73.72 deg, rel. 13, (1 0 3)

=====

2.
Diffraction record for CeHoZnAg. The PXRD pattern is computed, not measured: it uses the GGA-PBE geometry in Alexandria and Cu Ka.

Cell and atoms:
```
4
Lattice="3.5754 0.0000 0.0000 0.0000 3.5754 0.0000 0.0000 0.0000 7.4845" Properties=species:S:1:pos:R:3 pbc="T T T"
Ce 0.0000 0.0000 0.0000
Ho 0.0000 0.0000 3.6121
Zn 1.7877 1.7877 1.8938
Ag 1.7877 1.7877 5.3652
```

Main lines, in order of rising 2θ (10° ≤ 2θ ≤ 80°):
23.78 deg, rel. 4, (0 0 2)
24.90 deg, rel. 7, (1 0 0)
34.70 deg, rel. 100, (1 0 2)
35.51 deg, rel. 48, (1 1 0)
48.66 deg, rel. 9, (0 0 4)
51.09 deg, rel. 17, (2 0 0)
61.67 deg, rel. 17, (1 1 4)
63.24 deg, rel. 34, (2 1 2)
73.23 deg, rel. 10, (2 0 4)
75.16 deg, rel. 5, (2 2 0)

=====

3.
Diffraction record for Ho3TmSb2. The PXRD pattern is computed, not measured: it uses the GGA-PBE geometry in Alexandria and Cu Ka.

Cell and atoms:
```
6
Lattice="4.4460 0.0000 0.0000 0.0000 4.4460 0.0000 0.0000 0.0000 8.3980" Properties=species:S:1:pos:R:3 pbc="T T T"
Ho 0.0000 0.0000 0.0000
Ho 0.0000 2.2230 5.4644
Ho 2.2230 0.0000 2.9336
Tm 2.2230 2.2230 0.0000
Sb 0.0000 2.2230 2.3563
Sb 2.2230 0.0000 6.0418
```

Main lines, in order of rising 2θ (10° ≤ 2θ ≤ 80°):
29.26 deg, rel. 16, (1 0 2)
30.36 deg, rel. 100, (1 1 1)
31.97 deg, rel. 41, (0 0 3)
35.68 deg, rel. 88, (1 1 2)
40.58 deg, rel. 57, (2 0 0)
52.57 deg, rel. 40, (2 0 3)
58.75 deg, rel. 30, (2 2 0)
67.55 deg, rel. 20, (3 1 1)
68.45 deg, rel. 18, (2 2 3)
70.65 deg, rel. 24, (3 1 2)